Structure and calculated PXRD pattern of BaGe2S5 (a crystal structure in Alexandria, relaxed with GGA-PBE; Cu Kα (λ = 1.5418 Å)).
No peak broadening, texture or thermal motion is included.

The 10 most intense peaks (10 to 90 degrees two-theta), in order of rising 2θ:
2θ (°), I/Imax
19.35, 70
23.39, 61
25.52, 100
28.74, 26
33.31, 56
35.40, 48
39.28, 31
50.92, 46
52.05, 28
63.54, 34

Crystal structure
Cell lengths 10.759, 10.759, 10.759 Å; angles 60.00, 60.00, 60.00 degrees
Element x y z (fractional)
Ba1 0.000 0.000 0.000
Ba2 0.000 0.000 0.500
Ba3 0.000 0.500 0.000
Ba4 0.500 0.000 0.000
Ge1 0.292 0.292 0.292
Ge2 0.292 0.292 0.624
Ge3 0.292 0.624 0.292
Ge4 0.376 0.708 0.708
Ge5 0.624 0.292 0.292
Ge6 0.708 0.376 0.708
Ge7 0.708 0.708 0.376
Ge8 0.708 0.708 0.708
S1 0.128 0.791 0.791
S2 0.202 0.202 0.548
S3 0.202 0.548 0.202
S4 0.202 0.548 0.548
S5 0.209 0.209 0.209
S6 0.209 0.209 0.872
S7 0.209 0.872 0.209
S8 0.452 0.452 0.798
S9 0.452 0.798 0.452
S10 0.452 0.798 0.798
S11 0.548 0.202 0.202
S12 0.548 0.202 0.548
S13 0.548 0.548 0.202
S14 0.791 0.128 0.791
S15 0.791 0.791 0.128
S16 0.791 0.791 0.791
S17 0.798 0.452 0.452
S18 0.798 0.452 0.798
S19 0.798 0.798 0.452
S20 0.872 0.209 0.209